This entry pairs a crystal structure of Nd4YTl3 with its computed X-ray diffraction stick pattern. Radiation: Cu Kα. Structure: a structure optimized by DFT (GGA-PBE).
Neutral-atom scattering factors, no anomalous dispersion.

The 10 most intense peaks (10° ≤ 2θ ≤ 80°), by angle:
| Position (°2θ) | Rel. int. |
| --- | --- |
| 30.55 | 28 |
| 30.68 | 26 |
| 31.17 | 44 |
| 33.48 | 100 |
| 33.60 | 17 |
| 37.91 | 16 |
| 38.02 | 15 |
| 52.54 | 15 |
| 56.95 | 22 |
| 62.37 | 18 |

Structure:
a = 11.4766 Å, b = 6.9989 Å, c = 6.0248 Å
α = 90.00°, β = 90.00°, γ = 90.00°
Space group Pmma (No. 51)
Asymmetric unit:
Nd: 0.0000 0.2478 0.0000 x4
Nd: 0.2500 0.2414 0.3799 x4
Y: 0.0000 0.5000 0.5000 x2
Tl: 0.0000 0.0000 0.5000 x2
Tl: 0.2500 0.0000 0.8700 x2
Tl: 0.2500 0.5000 0.8600 x2



This entry pairs a crystal structure of Nd5Y12Tl2 with its computed X-ray diffraction stick pattern. Radiation: Cu Kα. Structure: a structure optimized by DFT (GGA-PBE).
Neutral-atom scattering factors, no anomalous dispersion.

The 10 most intense peaks (10° ≤ 2θ ≤ 80°), by angle:
| Position (°2θ) | Rel. int. |
| --- | --- |
| 29.44 | 20 |
| 30.33 | 48 |
| 30.75 | 35 |
| 31.87 | 100 |
| 32.00 | 52 |
| 33.64 | 47 |
| 35.06 | 36 |
| 35.79 | 22 |
| 55.95 | 20 |
| 57.65 | 25 |

Structure:
a = 15.4977 Å, b = 9.5231 Å, c = 8.4090 Å
α = 90.00°, β = 92.14°, γ = 90.00°
Space group C2/m (No. 12)
Asymmetric unit:
Nd: 0.0000 0.0000 0.0000 x2
Nd: 0.1908 0.5000 0.5076 x4
Nd: 0.2342 0.0000 0.0793 x4
Y: 0.0523 0.5000 0.8187 x4
Y: 0.0792 0.0000 0.3790 x4
Y: 0.1261 0.3060 0.1634 x8
Y: 0.1460 0.1831 0.7329 x8
Tl: 0.0000 0.3127 0.5000 x4



This entry pairs a crystal structure of Nd7YTl3 with its computed X-ray diffraction stick pattern. Radiation: Cu Kα. Structure: a structure optimized by DFT (GGA-PBE).
Neutral-atom scattering factors, no anomalous dispersion.

The 10 most intense peaks (10° ≤ 2θ ≤ 80°), by angle:
| Position (°2θ) | Rel. int. |
| --- | --- |
| 11.38 | 24 |
| 29.28 | 76 |
| 29.87 | 100 |
| 31.93 | 33 |
| 32.04 | 32 |
| 33.85 | 88 |
| 34.01 | 87 |
| 42.32 | 56 |
| 55.50 | 21 |
| 55.82 | 22 |

Structure:
a = 11.6953 Å, b = 12.2009 Å, c = 5.9833 Å
α = 90.00°, β = 120.39°, γ = 90.00°
Space group C2/m (No. 12)
Asymmetric unit:
Nd: 0.0000 0.0000 0.0000 x2
Nd: 0.1661 0.5000 0.1646 x4
Nd: 0.1800 0.2875 0.6813 x8
Y: 0.0000 0.0000 0.5000 x2
Tl: 0.0000 0.2619 0.0000 x4
Tl: 0.0000 0.5000 0.5000 x2



This entry pairs a crystal structure of Nd3Y4Tl4 with its computed X-ray diffraction stick pattern. Radiation: Cu Kα. Structure: a structure optimized by DFT (GGA-PBE).
Neutral-atom scattering factors, no anomalous dispersion.

The 10 most intense peaks (10° ≤ 2θ ≤ 80°), by angle:
| Position (°2θ) | Rel. int. |
| --- | --- |
| 19.48 | 24 |
| 20.55 | 24 |
| 29.89 | 100 |
| 31.05 | 36 |
| 31.75 | 90 |
| 33.85 | 29 |
| 34.73 | 56 |
| 36.62 | 29 |
| 37.39 | 34 |
| 56.34 | 35 |

Structure:
a = 3.8528 Å, b = 9.8148 Å, c = 18.2307 Å
α = 90.00°, β = 90.00°, γ = 90.00°
Space group Immm (No. 71)
Asymmetric unit:
Nd: 0.0000 0.0000 0.0000 x2
Nd: 0.0000 0.5000 0.1017 x4
Y: 0.0000 0.3011 0.3326 x8
Tl: 0.0000 0.0000 0.2548 x4
Tl: 0.0000 0.2212 0.5000 x4



This entry pairs a crystal structure of Nd3YTl with its computed X-ray diffraction stick pattern. Radiation: Cu Kα. Structure: a structure optimized by DFT (GGA-PBE).
Neutral-atom scattering factors, no anomalous dispersion.

The 10 most intense peaks (10° ≤ 2θ ≤ 80°), by angle:
| Position (°2θ) | Rel. int. |
| --- | --- |
| 19.30 | 3 |
| 20.79 | 2 |
| 30.93 | 100 |
| 34.30 | 19 |
| 36.62 | 32 |
| 51.04 | 24 |
| 52.76 | 11 |
| 59.33 | 15 |
| 62.42 | 27 |
| 64.45 | 12 |

Structure:
a = 4.9031 Å, b = 26.1467 Å, c = 4.9119 Å
α = 90.00°, β = 90.00°, γ = 90.00°
Space group Cmcm (No. 63)
Asymmetric unit:
Nd: 0.0000 0.0526 0.2500 x4
Nd: 0.0000 0.2511 0.2500 x4
Nd: 0.0000 0.4461 0.2500 x4
Y: 0.0000 0.3489 0.7500 x4
Tl: 0.0000 0.1531 0.7500 x4



This entry pairs a crystal structure of Nd5TlZn2 with its computed X-ray diffraction stick pattern. Radiation: Cu Kα. Structure: a structure optimized by DFT (GGA-PBE).
Neutral-atom scattering factors, no anomalous dispersion.

The 10 most intense peaks (10° ≤ 2θ ≤ 80°), by angle:
| Position (°2θ) | Rel. int. |
| --- | --- |
| 26.31 | 16 |
| 27.99 | 39 |
| 30.94 | 100 |
| 32.48 | 60 |
| 32.65 | 20 |
| 36.63 | 62 |
| 51.63 | 14 |
| 55.46 | 23 |
| 60.48 | 17 |
| 65.85 | 13 |

Structure:
a = 7.7579 Å, b = 7.7579 Å, c = 15.6701 Å
α = 90.00°, β = 90.00°, γ = 90.00°
Space group I4/mcm (No. 140)
Asymmetric unit:
Nd: 0.0000 0.0000 0.0000 x4
Nd: 0.1656 0.3344 0.1474 x16
Tl: 0.0000 0.0000 0.2500 x4
Zn: 0.1200 0.3800 0.5000 x8



Copy entry 3 word for word.
This entry pairs a crystal structure of Nd7YTl3 with its computed X-ray diffraction stick pattern. Radiation: Cu Kα. Structure: a structure optimized by DFT (GGA-PBE).
Neutral-atom scattering factors, no anomalous dispersion.

The 10 most intense peaks (10° ≤ 2θ ≤ 80°), by angle:
| Position (°2θ) | Rel. int. |
| --- | --- |
| 11.38 | 24 |
| 29.28 | 76 |
| 29.87 | 100 |
| 31.93 | 33 |
| 32.04 | 32 |
| 33.85 | 88 |
| 34.01 | 87 |
| 42.32 | 56 |
| 55.50 | 21 |
| 55.82 | 22 |

Structure:
a = 11.6953 Å, b = 12.2009 Å, c = 5.9833 Å
α = 90.00°, β = 120.39°, γ = 90.00°
Space group C2/m (No. 12)
Asymmetric unit:
Nd: 0.0000 0.0000 0.0000 x2
Nd: 0.1661 0.5000 0.1646 x4
Nd: 0.1800 0.2875 0.6813 x8
Y: 0.0000 0.0000 0.5000 x2
Tl: 0.0000 0.2619 0.0000 x4
Tl: 0.0000 0.5000 0.5000 x2